Starting from DFT lattice parameters and positions (GGA+U), the XRD peak list of Li3CrP2O8 was computed for copper Kα.
Kinematic intensities with the Lorentz-polarization factor, no thermal factor.

Atomic structure:
```
data_Li3CrP2O8
_space_group_name_H-M_alt 'P 1'
_space_group_IT_number 1
_space_group_name_Hall 'P 1'
_cell_length_a 8.687
_cell_length_b 8.729
_cell_length_c 9.119
_cell_angle_alpha 87.44
_cell_angle_beta 87.73
_cell_angle_gamma 67.07
loop_
_atom_site_label
_atom_site_fract_x
_atom_site_fract_y
_atom_site_fract_z
_atom_site_occupancy
Li1 0.000 0.000 0.000 1
Li2 0.003 0.649 0.864 1
Li3 0.068 0.063 0.727 1
Li4 0.215 0.810 0.534 1
Li5 0.240 0.274 0.970 1
Li6 0.262 0.882 0.220 1
Li7 0.481 0.045 0.464 1
Li8 0.522 0.483 0.005 1
Li9 0.670 0.351 0.513 1
Li10 0.709 0.787 0.089 1
Li11 0.950 0.956 0.314 1
Li12 0.969 0.538 0.540 1
Cr1 0.338 0.425 0.352 1
Cr2 0.595 0.685 0.675 1
Cr3 0.619 0.146 0.851 1
Cr4 0.875 0.407 0.171 1
P1 0.096 0.630 0.186 1
P2 0.120 0.205 0.335 1
P3 0.343 0.488 0.692 1
P4 0.393 0.929 0.838 1
P5 0.537 0.679 0.334 1
P6 0.677 0.156 0.194 1
P7 0.821 0.905 0.682 1
P8 0.865 0.348 0.835 1
O1 0.052 0.303 0.824 1
O2 0.087 0.808 0.150 1
O3 0.091 0.597 0.356 1
O4 0.117 0.236 0.163 1
O5 0.127 0.030 0.378 1
O6 0.154 0.541 0.704 1
O7 0.218 0.946 0.890 1
O8 0.266 0.491 0.137 1
O9 0.270 0.230 0.398 1
O10 0.374 0.642 0.341 1
O11 0.380 0.649 0.680 1
O12 0.415 0.926 0.665 1
O13 0.421 0.385 0.555 1
O14 0.430 0.074 0.899 1
O15 0.440 0.381 0.826 1
O16 0.478 0.867 0.314 1
O17 0.535 0.760 0.887 1
O18 0.571 0.252 0.327 1
O19 0.578 0.232 0.053 1
O20 0.639 0.602 0.472 1
O21 0.646 0.589 0.200 1
O22 0.668 0.069 0.641 1
O23 0.734 0.968 0.212 1
O24 0.768 0.450 0.700 1
O25 0.780 0.446 0.972 1
O26 0.796 0.750 0.631 1
O27 0.813 0.899 0.856 1
O28 0.841 0.179 0.839 1
O29 0.842 0.189 0.188 1
O30 0.951 0.348 0.385 1
O31 0.951 0.604 0.107 1
O32 0.985 0.910 0.620 1
```

Principal peaks in the range 2θ = 10–90°, by angle:
d [Å]	intensity
8.017	42
5.936	100
4.554	48
4.254	42
4.017	13
3.912	16
3.625	71
2.907	15
2.771	14
2.620	14